# 1
Diffraction record for RbHgH5. The PXRD pattern is computed, not measured: it uses a DFT-relaxed cell (GGA-PBE, Alexandria) and Cu Kα (λ = 1.5418 Å).

```
RbHgH5
1.0
3.002 -5.617 0.000
3.002 5.617 0.000
-0.993 0.000 3.881
Rb Hg H
1 1 5
Direct
0.000 0.000 0.000 Rb
0.320 0.680 0.500 Hg
0.162 0.382 0.624 H
0.163 0.837 0.500 H
0.618 0.838 0.376 H
0.625 0.307 0.907 H
0.693 0.375 0.093 H
```

Top 10 peaks for 2θ from 10° to 80°, sorted by position:
2θ 15.78, intensity 46.8; 2θ 17.17, intensity 100.0; 2θ 25.49, intensity 77.7; 2θ 27.94, intensity 70.2; 2θ 28.34, intensity 79.4; 2θ 30.74, intensity 32.6; 2θ 31.74, intensity 46.3; 2θ 37.34, intensity 32.4; 2θ 39.61, intensity 21.8; 2θ 47.62, intensity 22.6

# 2
Diffraction record for Al5O8. The PXRD pattern is computed, not measured: it uses a DFT-relaxed cell (GGA-PBE, Alexandria) and Cu Kα (λ = 1.5418 Å).

```
Al5O8
1.0
0.000 3.997 3.997
3.997 0.000 3.997
3.997 3.997 0.000
Al O
5 8
Direct
0.000 0.000 0.000 Al
0.378 0.378 0.378 Al
0.378 0.378 0.866 Al
0.378 0.866 0.378 Al
0.866 0.378 0.378 Al
0.133 0.133 0.133 O
0.133 0.133 0.601 O
0.133 0.601 0.133 O
0.165 0.612 0.612 O
0.601 0.133 0.133 O
0.612 0.165 0.612 O
0.612 0.612 0.165 O
0.612 0.612 0.612 O
```

Top 10 peaks for 2θ from 10° to 80°, sorted by position:
2θ 19.23, intensity 95.8; 2θ 22.24, intensity 23.8; 2θ 31.66, intensity 12.7; 2θ 37.31, intensity 88.7; 2θ 45.38, intensity 100.0; 2θ 49.72, intensity 6.7; 2θ 60.15, intensity 46.6; 2θ 66.12, intensity 84.9; 2θ 69.58, intensity 12.7; 2θ 78.45, intensity 10.2

Repeat the first record exactly.
Diffraction record for RbHgH5. The PXRD pattern is computed, not measured: it uses a DFT-relaxed cell (GGA-PBE, Alexandria) and Cu Kα (λ = 1.5418 Å).

```
RbHgH5
1.0
3.002 -5.617 0.000
3.002 5.617 0.000
-0.993 0.000 3.881
Rb Hg H
1 1 5
Direct
0.000 0.000 0.000 Rb
0.320 0.680 0.500 Hg
0.162 0.382 0.624 H
0.163 0.837 0.500 H
0.618 0.838 0.376 H
0.625 0.307 0.907 H
0.693 0.375 0.093 H
```

Top 10 peaks for 2θ from 10° to 80°, sorted by position:
2θ 15.78, intensity 46.8; 2θ 17.17, intensity 100.0; 2θ 25.49, intensity 77.7; 2θ 27.94, intensity 70.2; 2θ 28.34, intensity 79.4; 2θ 30.74, intensity 32.6; 2θ 31.74, intensity 46.3; 2θ 37.34, intensity 32.4; 2θ 39.61, intensity 21.8; 2θ 47.62, intensity 22.6